(1)
Simulated XRD peak list of AcCrP2S8 for a wavelength of 1.5418 Å, from a structure optimized by DFT (GGA-PBE).
Neutral-atom scattering factors, no anomalous dispersion.

Atomic structure:
```
12
Lattice="4.834 -3.231 0.000 4.834 3.231 0.000 -1.003 0.000 8.689" Properties=species:S:1:pos:R:3 pbc="T T T"
Ac 0.000 0.000 0.000
Cr -0.501 0.000 4.344
P 2.918 0.000 6.157
P 5.747 0.000 2.532
S 4.411 1.629 2.546
S 1.847 0.000 4.444
S 4.253 1.629 6.142
S 2.124 0.000 8.049
S 6.541 0.000 0.640
S 4.411 -1.629 2.546
S 6.818 0.000 4.245
S 4.253 -1.629 6.142
```

Peak list (12 most intense, 10° ≤ 2θ ≤ 90°, in order of rising 2θ)
2θ/deg  I/Imax
16.53  84
18.48  71
20.03  100
20.44  28
25.55  59
27.23  64
27.61  35
31.18  64
34.37  38
34.60  66
35.69  32
53.78  30


(2)
Simulated XRD peak list of Rb4Ac3CrS8 for a wavelength of 1.5418 Å, from a structure optimized by DFT (GGA-PBE).
Neutral-atom scattering factors, no anomalous dispersion.

Atomic structure:
```
16
Lattice="4.279 2.471 7.731 -4.279 2.471 7.731 0.000 -4.941 7.731" Properties=species:S:1:pos:R:3 pbc="T T T"
Rb 0.000 0.000 0.000
Rb -2.140 -1.235 7.731
Rb -2.140 1.235 15.462
Rb 0.000 2.471 7.731
Ac -4.279 0.000 11.597
Ac -2.140 1.235 3.866
Ac 2.140 1.235 3.866
Cr 0.000 0.000 11.597
S 0.000 0.000 5.494
S -1.897 -1.095 13.056
S 0.000 -2.190 10.138
S -1.897 1.095 10.138
S 1.897 -1.095 13.056
S 0.000 2.190 13.056
S 1.897 1.095 10.138
S 0.000 0.000 17.700
```

Peak list (12 most intense, 10° ≤ 2θ ≤ 90°, in order of rising 2θ)
2θ/deg  I/Imax
11.45  34
23.01  24
25.23  52
28.59  100
39.46  37
42.24  35
46.17  15
48.64  22
49.81  14
51.79  18
65.02  14
68.97  15


(3)
Simulated XRD peak list of Ac2TmCrS6 for a wavelength of 1.5418 Å, from a structure optimized by DFT (GGA-PBE).
Neutral-atom scattering factors, no anomalous dispersion.

Atomic structure:
```
20
Lattice="7.026 0.000 0.000 0.000 9.908 0.000 0.000 0.000 6.849" Properties=species:S:1:pos:R:3 pbc="T T T"
Ac 1.756 0.378 1.511
Ac 1.756 4.576 1.511
Ac 5.269 5.333 5.338
Ac 5.269 9.530 5.338
Tm 1.756 7.431 5.137
Tm 5.269 2.477 1.712
Cr 1.756 2.477 5.075
Cr 5.269 7.431 1.774
S 0.082 2.477 6.725
S 0.206 2.477 3.331
S 1.756 0.116 5.250
S 1.756 4.838 5.250
S 3.307 2.477 3.331
S 3.431 2.477 6.725
S 3.595 7.431 0.124
S 3.719 7.431 3.518
S 5.269 5.070 1.599
S 5.269 9.793 1.599
S 6.820 7.431 3.518
S 6.944 7.431 0.124
```

Peak list (12 most intense, 10° ≤ 2θ ≤ 90°, in order of rising 2θ)
2θ/deg  I/Imax
15.73  23
25.35  32
25.56  100
26.02  26
29.92  29
31.21  14
36.27  16
36.65  46
40.04  19
44.80  30
45.62  18
52.51  19


(4)
Simulated XRD peak list of AcCr4Se8 for a wavelength of 1.5418 Å, from a structure optimized by DFT (GGA-PBE).
Neutral-atom scattering factors, no anomalous dispersion.

Atomic structure:
```
13
Lattice="3.672 2.120 7.141 -3.672 2.120 7.141 0.000 -4.240 7.141" Properties=species:S:1:pos:R:3 pbc="T T T"
Ac 0.000 0.000 0.000
Cr -3.672 0.000 10.711
Cr -1.836 1.060 3.570
Cr 1.836 1.060 3.570
Cr 0.000 0.000 10.711
Se 0.000 0.000 4.974
Se -1.802 -1.040 12.109
Se 0.000 -2.080 9.313
Se -1.802 1.040 9.313
Se 1.802 -1.040 12.109
Se 0.000 2.080 12.109
Se 1.802 1.040 9.313
Se 0.000 0.000 16.448
```

Peak list (12 most intense, 10° ≤ 2θ ≤ 90°, in order of rising 2θ)
2θ/deg  I/Imax
12.40  17
14.53  29
16.21  26
21.69  14
27.31  15
32.75  100
35.10  17
40.93  10
44.22  29
49.66  34
60.76  16
82.20  13


(5)
Simulated XRD peak list of Ac2UCrSe6 for a wavelength of 1.5418 Å, from a structure optimized by DFT (GGA-PBE).
Neutral-atom scattering factors, no anomalous dispersion.

Atomic structure:
```
10
Lattice="3.763 2.172 5.903 -3.763 2.172 5.903 0.000 -4.345 5.903" Properties=species:S:1:pos:R:3 pbc="T T T"
Ac 0.000 0.000 3.836
Ac 0.000 0.000 13.873
U 0.000 0.000 8.855
Cr 0.000 0.000 0.000
Se -0.720 -2.274 7.368
Se -2.330 -0.514 10.342
Se -1.610 1.761 7.368
Se 1.610 -1.761 10.342
Se 2.330 0.514 7.368
Se 0.720 2.274 10.342
```

Peak list (12 most intense, 10° ≤ 2θ ≤ 90°, in order of rising 2θ)
2θ/deg  I/Imax
15.01  43
23.65  68
24.30  53
28.12  100
29.20  24
34.17  73
38.16  32
41.57  54
41.97  35
48.38  20
51.80  24
65.94  21


(6)
Simulated XRD peak list of CsAcCuI5 for a wavelength of 1.5418 Å, from a structure optimized by DFT (GGA-PBE).
Neutral-atom scattering factors, no anomalous dispersion.

Atomic structure:
```
16
Lattice="5.290 -6.986 0.000 5.290 6.986 0.000 -4.804 0.000 10.981" Properties=species:S:1:pos:R:3 pbc="T T T"
Cs 1.687 5.068 8.236
Cs 4.089 -5.068 2.745
Ac 5.290 0.000 0.000
Ac 2.888 0.000 5.491
Cu 4.089 4.340 2.745
Cu 1.687 -4.340 8.236
I -2.471 1.162 10.150
I 2.303 2.908 4.088
I -0.069 -1.162 4.659
I 5.875 2.908 1.403
I 1.687 1.286 8.236
I 4.089 -1.286 2.745
I -0.099 -2.908 9.578
I 5.844 1.162 6.322
I 3.473 -2.908 6.894
I 8.246 -1.162 0.832
```

Peak list (12 most intense, 10° ≤ 2θ ≤ 90°, in order of rising 2θ)
2θ/deg  I/Imax
11.11  50
16.31  100
18.31  44
20.57  42
21.13  34
23.16  52
23.97  89
26.22  60
30.32  30
31.81  32
31.97  69
38.46  44


(7)
Simulated XRD peak list of Cs3Ac3CuO8 for a wavelength of 1.5418 Å, from a structure optimized by DFT (GGA-PBE).
Neutral-atom scattering factors, no anomalous dispersion.

Atomic structure:
```
15
Lattice="6.776 -3.615 0.000 6.776 3.615 0.000 -4.105 0.000 6.970" Properties=species:S:1:pos:R:3 pbc="T T T"
Cs 0.000 0.000 0.000
Cs 3.388 1.808 0.000
Cs 3.388 -1.808 0.000
Ac 1.335 1.808 3.485
Ac 1.335 -1.808 3.485
Ac 4.723 0.000 3.485
Cu -2.053 0.000 3.485
O 3.750 2.224 4.372
O 5.696 2.224 2.598
O 2.545 0.000 2.232
O 1.036 0.000 5.068
O 8.410 0.000 1.902
O 6.901 0.000 4.738
O 3.750 -2.224 4.372
O 5.696 -2.224 2.598
```

Peak list (12 most intense, 10° ≤ 2θ ≤ 90°, in order of rising 2θ)
2θ/deg  I/Imax
12.70  54
16.48  27
25.56  76
28.21  56
29.05  100
30.63  62
33.32  98
44.19  41
47.53  35
53.04  26
53.47  22
55.98  20


(8)
Simulated XRD peak list of CsAcCuSe2 for a wavelength of 1.5418 Å, from a structure optimized by DFT (GGA-PBE).
Neutral-atom scattering factors, no anomalous dispersion.

Atomic structure:
```
10
Lattice="8.560 0.000 0.000 0.000 4.837 0.000 -1.497 0.000 9.009" Properties=species:S:1:pos:R:3 pbc="T T T"
Cs -0.374 0.851 2.252
Cs -1.123 3.987 6.757
Ac 3.157 2.369 6.757
Ac 3.906 2.469 2.252
Cu 4.280 0.000 0.000
Cu 3.531 0.000 4.505
Se 0.939 1.452 8.729
Se 1.688 3.386 4.225
Se 5.375 1.452 4.784
Se 6.123 3.386 0.280
```

Peak list (12 most intense, 10° ≤ 2θ ≤ 90°, in order of rising 2θ)
2θ/deg  I/Imax
10.48  100
21.04  45
21.17  57
24.11  73
26.46  56
27.85  64
30.26  65
31.32  45
32.39  30
38.73  31
39.54  43
40.03  34


Q: Which formula does entry 5 have?
A: Ac2UCrSe6


Q: Which formula does entry 4 have?
A: AcCr4Se8